AlGaH6Os: theoretical X-ray powder pattern (Cu Kα (λ = 1.5418 Å)), based on the GGA-PBE geometry in OQMD.
Intensities are scaled so that the largest is 100.

Structural model:
```
data_AlGaH6Os
_chemical_formula_sum 'Al4 Ga4 H24 Os4'
_cell_length_a 6.474
_cell_length_b 6.474
_cell_length_c 6.474
_cell_angle_alpha 90.00
_cell_angle_beta 90.00
_cell_angle_gamma 90.00
_symmetry_space_group_name_H-M 'F -4 3 m'
_symmetry_Int_Tables_number 216
_symmetry_space_group_name_Hall 'F -4 2 3'
loop_
_atom_site_label
_atom_site_type_symbol
_atom_site_fract_x
_atom_site_fract_y
_atom_site_fract_z
Al1 Al 0.000 0.000 0.000
Ga1 Ga 0.000 0.000 0.500
H1 H 0.021 0.250 0.750
Os1 Os 0.250 0.250 0.250
```

The 10 most intense peaks (10 to 80 degrees two-theta), most intense first:
two_theta	d (Å)	intensity
23.80	3.738	100
39.36	2.289	91
46.52	1.952	52
71.37	1.322	32
62.53	1.485	22
56.89	1.619	16
76.45	1.246	16
27.55	3.237	11
64.35	1.448	4
48.72	1.869	3